For RbYMo2O8, a PBE+U-relaxed structure gives the simulated powder diffractogram in this record (Cu Kα X-rays).

Crystal structure
a b c (Å): 7.559 7.559 7.780
angles (deg): 118.13 118.13 88.34
Positions (direct):
Rb1 0.199 0.801 0.750
Rb2 0.801 0.199 0.250
Y1 0.229 0.771 0.250
Y2 0.771 0.229 0.750
Mo1 0.304 0.305 0.763
Mo2 0.305 0.304 0.263
Mo3 0.695 0.696 0.737
Mo4 0.696 0.695 0.237
O1 0.049 0.208 0.693
O2 0.069 0.383 0.125
O3 0.208 0.049 0.193
O4 0.235 0.385 0.562
O5 0.368 0.585 0.030
O6 0.383 0.069 0.625
O7 0.385 0.235 0.062
O8 0.415 0.632 0.470
O9 0.585 0.368 0.530
O10 0.615 0.765 0.938
O11 0.617 0.931 0.375
O12 0.632 0.415 0.970
O13 0.765 0.615 0.438
O14 0.792 0.951 0.807
O15 0.931 0.617 0.875
O16 0.951 0.792 0.307

The 10 most intense peaks (10 to 80 degrees two-theta), in order of rising 2θ:
Position (°2θ), Rel. int.
27.62, 100
28.58, 62
30.50, 29
34.02, 21
46.35, 16
49.72, 12
51.00, 11
51.90, 9
53.58, 14
55.11, 10

For RbYMo2O8, a PBE+U-relaxed structure gives the simulated powder diffractogram in this record (Cu Kα X-rays).

Crystal structure
a b c (Å): 5.157 18.970 8.212
angles (deg): 90.00 90.00 90.00
Positions (direct):
Rb1 0.000 0.230 0.250
Rb2 0.000 0.770 0.750
Rb3 0.500 0.270 0.750
Rb4 0.500 0.730 0.250
Y1 0.000 0.006 0.750
Y2 0.000 0.994 0.250
Y3 0.500 0.494 0.250
Y4 0.500 0.506 0.750
Mo1 0.023 0.401 0.515
Mo2 0.023 0.599 0.015
Mo3 0.477 0.099 0.015
Mo4 0.477 0.901 0.515
Mo5 0.523 0.099 0.485
Mo6 0.523 0.901 0.985
Mo7 0.977 0.401 0.985
Mo8 0.977 0.599 0.485
O1 0.097 0.315 0.975
O2 0.097 0.685 0.475
O3 0.232 0.403 0.340
O4 0.232 0.597 0.840
O5 0.240 0.411 0.689
O6 0.240 0.589 0.189
O7 0.247 0.036 0.505
O8 0.247 0.964 0.005
O9 0.253 0.464 0.005
O10 0.253 0.536 0.505
O11 0.260 0.089 0.189
O12 0.260 0.911 0.689
O13 0.268 0.097 0.840
O14 0.268 0.903 0.340
O15 0.403 0.185 0.475
O16 0.403 0.815 0.975
O17 0.597 0.185 0.025
O18 0.597 0.815 0.525
O19 0.732 0.097 0.660
O20 0.732 0.903 0.160
O21 0.740 0.089 0.311
O22 0.740 0.911 0.811
O23 0.747 0.464 0.495
O24 0.747 0.536 0.995
O25 0.753 0.036 0.995
O26 0.753 0.964 0.495
O27 0.760 0.411 0.811
O28 0.760 0.589 0.311
O29 0.768 0.403 0.160
O30 0.768 0.597 0.660
O31 0.903 0.315 0.525
O32 0.903 0.685 0.025

The 10 most intense peaks (10 to 80 degrees two-theta), in order of rising 2θ:
Position (°2θ), Rel. int.
22.24, 25
24.78, 21
28.18, 100
28.76, 45
29.22, 58
34.79, 14
44.11, 17
45.74, 42
51.88, 20
53.79, 18